Record 1
# Sm2Tm12Zr
Theoretical XRD peak list, Cu Kα. Input: a cell relaxed with PBE.
No peak broadening, texture or thermal motion is included.

Atomic structure:
```
data_Sm2Tm12Zr
_chemical_formula_sum 'Sm2 Tm12 Zr1'
_cell_length_a 3.4891
_cell_length_b 5.5037
_cell_length_c 23.7272
_cell_angle_alpha 90.00
_cell_angle_beta 94.20
_cell_angle_gamma 90.00
_symmetry_space_group_name_H-M 'P 1 2/m 1'
_symmetry_Int_Tables_number 10
loop_
_symmetry_equiv_pos_as_xyz
'x,y,z'
'-x,-y,-z'
'-x,y,-z'
'x,-y,z'
loop_
_atom_site_label
_atom_site_fract_x
_atom_site_fract_y
_atom_site_fract_z
Sm1 0.1363 0.0000 0.2758
Tm1 0.0325 0.5000 0.0627
Tm2 0.0633 0.0000 0.1269
Tm3 0.2219 0.5000 0.4443
Tm4 0.2871 0.0000 0.5742
Tm5 0.3370 0.5000 0.6717
Tm6 0.4054 0.5000 0.8108
Zr1 0.5000 0.0000 0.0000
```

Principal peaks in the range 2θ from 10° to 90°, most intense first:
(1 1 2), 31.80 deg, d 2.814, I = 100; (0 2 0), 32.54 deg, d 2.752, I = 83; (1 1 -5), 34.90 deg, d 2.571, I = 55; (0 1 8), 34.42 deg, d 2.605, I = 52; (0 1 7), 31.05 deg, d 2.881, I = 52; (1 0 5), 33.05 deg, d 2.710, I = 44; (1 2 5), 47.06 deg, d 1.931, I = 33; (2 2 -1), 63.10 deg, d 1.473, I = 25; (2 0 -1), 52.45 deg, d 1.745, I = 22; (1 3 2), 57.59 deg, d 1.600, I = 19

***

Record 2
# SmYV4
Theoretical XRD peak list, Cu Kα. Input: a cell relaxed with PBE.
No peak broadening, texture or thermal motion is included.

Atomic structure:
```
data_SmYV4
_chemical_formula_sum 'Sm4 Y4 V16'
_cell_length_a 7.6497
_cell_length_b 7.6497
_cell_length_c 7.6497
_cell_angle_alpha 90.00
_cell_angle_beta 90.00
_cell_angle_gamma 90.00
_symmetry_space_group_name_H-M 'F -4 3 m'
_symmetry_Int_Tables_number 216
_symmetry_space_group_name_Hall 'F -4 2 3'
loop_
_atom_site_label
_atom_site_fract_x
_atom_site_fract_y
_atom_site_fract_z
Sm1 0.0000 0.0000 0.0000
Y1 0.2500 0.2500 0.7500
V1 0.1203 0.1203 0.3797
```

Principal peaks in the range 2θ from 10° to 90°, most intense first:
(3 1 1), 39.05 deg, d 2.306, I = 100; (2 2 0), 33.12 deg, d 2.705, I = 62; (5 1 1), 63.16 deg, d 1.472, I = 31; (4 2 2), 59.17 deg, d 1.561, I = 23; (4 4 0), 69.51 deg, d 1.352, I = 22; (2 2 2), 40.87 deg, d 2.208, I = 17; (1 1 1), 20.11 deg, d 4.417, I = 13; (5 3 3), 82.73 deg, d 1.167, I = 10; (6 2 0), 79.19 deg, d 1.210, I = 10; (2 0 0), 23.26 deg, d 3.825, I = 6

***

Record 3
# Sm3Y7
Theoretical XRD peak list, Cu Kα. Input: a cell relaxed with PBE.
No peak broadening, texture or thermal motion is included.

Atomic structure:
```
data_Sm3Y7
_chemical_formula_sum 'Sm6 Y14'
_cell_length_a 18.2623
_cell_length_b 5.4915
_cell_length_c 7.1021
_cell_angle_alpha 90.00
_cell_angle_beta 112.81
_cell_angle_gamma 90.00
_symmetry_space_group_name_H-M 'C 1 2/m 1'
_symmetry_Int_Tables_number 12
loop_
_symmetry_equiv_pos_as_xyz
'x,y,z'
'-x,-y,-z'
'-x,y,-z'
'x,-y,z'
'x+1/2,y+1/2,z'
'-x+1/2,-y+1/2,-z'
'-x+1/2,y+1/2,-z'
'x+1/2,-y+1/2,z'
loop_
_atom_site_label
_atom_site_fract_x
_atom_site_fract_y
_atom_site_fract_z
Sm1 0.0000 0.0000 0.0000
Sm2 0.1987 0.0000 0.6992
Y1 0.0000 0.0000 0.5000
Y2 0.1082 0.5000 0.3593
Y3 0.1082 0.5000 0.8579
Y4 0.2008 0.0000 0.2015
```

Principal peaks in the range 2θ from 10° to 90°, most intense first:
(5 1 0), 31.16 deg, d 2.870, I = 100; (3 1 -2), 30.44 deg, d 2.936, I = 84; (0 2 0), 32.61 deg, d 2.746, I = 45; (2 0 2), 33.00 deg, d 2.714, I = 38; (2 2 2), 47.08 deg, d 1.930, I = 28; (1 1 4), 61.36 deg, d 1.511, I = 18; (5 3 0), 57.29 deg, d 1.608, I = 17; (8 0 -2), 41.00 deg, d 2.202, I = 16; (7 1 2), 58.23 deg, d 1.585, I = 15; (8 2 -2), 53.34 deg, d 1.718, I = 14

***

Please write out number 1 again, unchanged.
# Sm2Tm12Zr
Theoretical XRD peak list, Cu Kα. Input: a cell relaxed with PBE.
No peak broadening, texture or thermal motion is included.

Atomic structure:
```
data_Sm2Tm12Zr
_chemical_formula_sum 'Sm2 Tm12 Zr1'
_cell_length_a 3.4891
_cell_length_b 5.5037
_cell_length_c 23.7272
_cell_angle_alpha 90.00
_cell_angle_beta 94.20
_cell_angle_gamma 90.00
_symmetry_space_group_name_H-M 'P 1 2/m 1'
_symmetry_Int_Tables_number 10
loop_
_symmetry_equiv_pos_as_xyz
'x,y,z'
'-x,-y,-z'
'-x,y,-z'
'x,-y,z'
loop_
_atom_site_label
_atom_site_fract_x
_atom_site_fract_y
_atom_site_fract_z
Sm1 0.1363 0.0000 0.2758
Tm1 0.0325 0.5000 0.0627
Tm2 0.0633 0.0000 0.1269
Tm3 0.2219 0.5000 0.4443
Tm4 0.2871 0.0000 0.5742
Tm5 0.3370 0.5000 0.6717
Tm6 0.4054 0.5000 0.8108
Zr1 0.5000 0.0000 0.0000
```

Principal peaks in the range 2θ from 10° to 90°, most intense first:
(1 1 2), 31.80 deg, d 2.814, I = 100; (0 2 0), 32.54 deg, d 2.752, I = 83; (1 1 -5), 34.90 deg, d 2.571, I = 55; (0 1 8), 34.42 deg, d 2.605, I = 52; (0 1 7), 31.05 deg, d 2.881, I = 52; (1 0 5), 33.05 deg, d 2.710, I = 44; (1 2 5), 47.06 deg, d 1.931, I = 33; (2 2 -1), 63.10 deg, d 1.473, I = 25; (2 0 -1), 52.45 deg, d 1.745, I = 22; (1 3 2), 57.59 deg, d 1.600, I = 19